For Li3Cu5Ni2, a DFT-relaxed cell (GGA-PBE, Alexandria) gives the simulated powder diffractogram in this record (Cu Kα, 1.54184 Å).
Kinematic intensities with the Lorentz-polarization factor, no thermal factor.

Atomic structure:
```
data_Li3Cu5Ni2
_chemical_formula_sum 'Li6 Cu10 Ni4'
_cell_length_a 8.531
_cell_length_b 4.087
_cell_length_c 7.217
_cell_angle_alpha 90.00
_cell_angle_beta 93.95
_cell_angle_gamma 90.00
_symmetry_space_group_name_H-M 'C 1 2/m 1'
_symmetry_Int_Tables_number 12
loop_
_symmetry_equiv_pos_as_xyz
'x,y,z'
'-x,-y,-z'
'-x,y,-z'
'x,-y,z'
'x+1/2,y+1/2,z'
'-x+1/2,-y+1/2,-z'
'-x+1/2,y+1/2,-z'
'x+1/2,-y+1/2,z'
loop_
_atom_site_label
_atom_site_type_symbol
_atom_site_fract_x
_atom_site_fract_y
_atom_site_fract_z
Li1 Li 0.000 0.000 0.000
Li2 Li 0.247 0.500 0.616
Cu1 Cu 0.000 0.000 0.500
Cu2 Cu 0.154 0.500 0.968
Cu3 Cu 0.175 0.000 0.760
Ni1 Ni 0.034 0.500 0.307
```

Largest 8 diffraction maxima, sorted by position, 15° ≤ 2θ ≤ 90°:
d (Å)  2θ/deg  I/Imax  h k l
3.779  23.5  70  2 0 -1
3.320  26.9  79  1 1 -1
2.044  44.3  53  0 2 0
2.009  45.1  100  3 1 -2
2.003  45.3  41  4 0 1
1.984  45.7  85  1 1 3
1.908  47.7  40  3 1 2
1.799  50.8  31  0 0 4